Theoretical powder X-ray diffraction pattern of PrDyCdIn for Cu Kα (λ = 1.5418 Å), from a cell relaxed with GGA-PBE.
Peak positions follow from Bragg's law for the DFT cell and can differ from measured ones.

Structural model:
Cell: 7.6539 7.6539 7.6539 Å, 90.00 90.00 90.00°
Sites, in units of the cell vectors:
Pr  0.0000  0.0000  0.0000
Pr  0.0000  0.5000  0.5000
Pr  0.5000  0.0000  0.5000
Pr  0.5000  0.5000  0.0000
Dy  0.0000  0.0000  0.5000
Dy  0.0000  0.5000  0.0000
Dy  0.5000  0.0000  0.0000
Dy  0.5000  0.5000  0.5000
Cd  0.2500  0.2500  0.7500
Cd  0.2500  0.7500  0.2500
Cd  0.7500  0.2500  0.2500
Cd  0.7500  0.7500  0.7500
In  0.2500  0.2500  0.2500
In  0.2500  0.7500  0.7500
In  0.7500  0.2500  0.7500
In  0.7500  0.7500  0.2500

Peak list (9 most intense, 2θ from 10° to 80°, low angle first)
d (Å)  intensity
3.827  2
2.706  100
2.209  1
1.913  18
1.711  1
1.562  37
1.353  11
1.276  1
1.210  16

---

Theoretical powder X-ray diffraction pattern of TbDy2Cd2In2 for Cu Kα (λ = 1.5418 Å), from a cell relaxed with GGA-PBE.
Peak positions follow from Bragg's law for the DFT cell and can differ from measured ones.

Structural model:
Cell: 9.3808 9.3808 9.3808 Å, 30.53 30.53 30.53°
Sites, in units of the cell vectors:
Tb  0.0000  0.0000  0.0000
Dy  0.1281  0.1281  0.1281
Dy  0.8719  0.8719  0.8719
Cd  0.3966  0.3966  0.3966
Cd  0.6034  0.6034  0.6034
In  0.2590  0.2590  0.2590
In  0.7410  0.7410  0.7410

Peak list (12 most intense, 2θ from 10° to 80°, low angle first)
d (Å)  intensity
4.224  15
2.853  49
2.638  85
2.470  100
1.867  14
1.803  27
1.787  10
1.489  14
1.456  27
1.448  29
1.426  18
1.235  11

---

Theoretical powder X-ray diffraction pattern of DyTiCdIn for Cu Kα (λ = 1.5418 Å), from a cell relaxed with GGA-PBE.
Peak positions follow from Bragg's law for the DFT cell and can differ from measured ones.

Structural model:
Cell: 7.1556 7.1556 7.1556 Å, 90.00 90.00 90.00°
Sites, in units of the cell vectors:
Dy  0.0000  0.0000  0.0000
Dy  0.0000  0.5000  0.5000
Dy  0.5000  0.0000  0.5000
Dy  0.5000  0.5000  0.0000
Ti  0.0000  0.0000  0.5000
Ti  0.0000  0.5000  0.0000
Ti  0.5000  0.0000  0.0000
Ti  0.5000  0.5000  0.5000
Cd  0.2500  0.2500  0.7500
Cd  0.2500  0.7500  0.2500
Cd  0.7500  0.2500  0.2500
Cd  0.7500  0.7500  0.7500
In  0.2500  0.2500  0.2500
In  0.2500  0.7500  0.7500
In  0.7500  0.2500  0.7500
In  0.7500  0.7500  0.2500

Peak list (9 most intense, 2θ from 10° to 80°, low angle first)
d (Å)  intensity
4.131  15
2.530  100
2.157  8
1.789  17
1.642  4
1.461  35
1.377  3
1.265  11
1.210  3

---

Theoretical powder X-ray diffraction pattern of DyCdIr for Cu Kα (λ = 1.5418 Å), from a cell relaxed with GGA-PBE.
Peak positions follow from Bragg's law for the DFT cell and can differ from measured ones.

Structural model:
Cell: 6.6071 6.6071 6.6071 Å, 90.00 90.00 90.00°
Sites, in units of the cell vectors:
Dy  0.0000  0.0000  0.0000
Dy  0.0000  0.5000  0.5000
Dy  0.5000  0.0000  0.5000
Dy  0.5000  0.5000  0.0000
Cd  0.0000  0.0000  0.5000
Cd  0.0000  0.5000  0.0000
Cd  0.5000  0.0000  0.0000
Cd  0.5000  0.5000  0.5000
Ir  0.2500  0.2500  0.7500
Ir  0.2500  0.7500  0.2500
Ir  0.7500  0.2500  0.2500
Ir  0.7500  0.7500  0.7500

Peak list (10 most intense, 2θ from 10° to 80°, low angle first)
d (Å)  intensity
3.815  42
3.304  5
2.336  100
1.992  22
1.907  1
1.652  17
1.516  9
1.477  1
1.349  35
1.272  7

---

Theoretical powder X-ray diffraction pattern of LaDyCd17 for Cu Kα (λ = 1.5418 Å), from a cell relaxed with GGA-PBE.
Peak positions follow from Bragg's law for the DFT cell and can differ from measured ones.

Structural model:
Cell: 7.6854 7.6854 7.6854 Å, 82.15 82.15 82.15°
Sites, in units of the cell vectors:
La  0.0000  0.0000  0.0000
Dy  0.6590  0.6590  0.6590
Cd  0.0307  0.3358  0.6315
Cd  0.0307  0.6315  0.3358
Cd  0.2057  0.6809  0.6809
Cd  0.2407  0.2407  0.2407
Cd  0.3129  0.3129  0.8552
Cd  0.3129  0.8552  0.3129
Cd  0.3358  0.0307  0.6315
Cd  0.3358  0.6315  0.0307
Cd  0.4383  0.4383  0.4383
Cd  0.5335  0.9571  0.9571
Cd  0.6315  0.0307  0.3358
Cd  0.6315  0.3358  0.0307
Cd  0.6809  0.2057  0.6809
Cd  0.6809  0.6809  0.2057
Cd  0.8552  0.3129  0.3129
Cd  0.9571  0.5335  0.9571
Cd  0.9571  0.9571  0.5335

Peak list (12 most intense, 2θ from 10° to 80°, low angle first)
d (Å)  intensity
3.026  6
2.916  25
2.848  16
2.521  100
2.503  20
2.477  26
2.254  28
2.243  7
1.596  6
1.458  10
1.448  21
1.349  7

---

Theoretical powder X-ray diffraction pattern of La2Dy6Cd for Cu Kα (λ = 1.5418 Å), from a cell relaxed with GGA-PBE.
Peak positions follow from Bragg's law for the DFT cell and can differ from measured ones.

Structural model:
Cell: 9.8291 10.3311 5.5500 Å, 90.00 90.00 90.00°
Sites, in units of the cell vectors:
La  0.1883  0.2500  0.0000
La  0.3117  0.7500  0.5000
La  0.6883  0.2500  0.5000
La  0.8117  0.7500  0.0000
Dy  0.0150  0.1802  0.5000
Dy  0.1399  0.6031  0.0000
Dy  0.1811  0.9256  0.0000
Dy  0.3189  0.4256  0.5000
Dy  0.3601  0.1031  0.5000
Dy  0.4850  0.6802  0.0000
Dy  0.5150  0.3198  0.0000
Dy  0.6399  0.8969  0.5000
Dy  0.6811  0.5744  0.5000
Dy  0.8189  0.0744  0.0000
Dy  0.8601  0.3969  0.0000
Dy  0.9850  0.8198  0.5000
Cd  0.0000  0.5000  0.5000
Cd  0.5000  0.0000  0.0000

Peak list (12 most intense, 2θ from 10° to 80°, low angle first)
d (Å)  intensity
2.926  18
2.821  100
2.805  53
2.774  44
2.514  9
2.374  9
1.978  18
1.804  8
1.624  14
1.622  11
1.611  14
1.608  10

---

Theoretical powder X-ray diffraction pattern of La15Dy4Cd for Cu Kα (λ = 1.5418 Å), from a cell relaxed with GGA-PBE.
Peak positions follow from Bragg's law for the DFT cell and can differ from measured ones.

Structural model:
Cell: 5.1777 5.1777 26.0247 Å, 90.00 90.00 90.00°
Sites, in units of the cell vectors:
La  0.0000  0.0000  0.0000
La  0.0000  0.0000  0.1976
La  0.0000  0.0000  0.3983
La  0.0000  0.0000  0.6017
La  0.0000  0.0000  0.8024
La  0.0000  0.5000  0.0978
La  0.0000  0.5000  0.2984
La  0.0000  0.5000  0.5000
La  0.0000  0.5000  0.7016
La  0.0000  0.5000  0.9022
La  0.5000  0.0000  0.0978
La  0.5000  0.0000  0.2984
La  0.5000  0.0000  0.5000
La  0.5000  0.0000  0.7016
La  0.5000  0.0000  0.9022
Dy  0.5000  0.5000  0.1973
Dy  0.5000  0.5000  0.3994
Dy  0.5000  0.5000  0.6006
Dy  0.5000  0.5000  0.8027
Cd  0.5000  0.5000  0.0000

Peak list (10 most intense, 2θ from 10° to 80°, low angle first)
d (Å)  intensity
2.995  100
2.602  17
2.589  34
1.835  24
1.831  12
1.568  14
1.562  29
1.497  12
1.301  2
1.294  4

---

Theoretical powder X-ray diffraction pattern of LaDyMg2Cd4 for Cu Kα (λ = 1.5418 Å), from a cell relaxed with GGA-PBE.
Peak positions follow from Bragg's law for the DFT cell and can differ from measured ones.

Structural model:
Cell: 9.0038 9.0038 9.0038 Å, 33.35 33.35 33.35°
Sites, in units of the cell vectors:
La  0.0000  0.0000  0.0000
Dy  0.5000  0.5000  0.5000
Mg  0.2491  0.2491  0.2491
Mg  0.7509  0.7509  0.7509
Cd  0.1282  0.1282  0.1282
Cd  0.3789  0.3789  0.3789
Cd  0.6211  0.6211  0.6211
Cd  0.8718  0.8718  0.8718

Peak list (12 most intense, 2θ from 10° to 80°, low angle first)
d (Å)  intensity
4.248  10
4.223  33
2.595  99
2.584  100
2.215  6
2.206  17
1.831  35
1.501  17
1.494  35
1.492  18
1.298  10
1.292  11

---

Theoretical powder X-ray diffraction pattern of La2Tb2DyCd5 for Cu Kα (λ = 1.5418 Å), from a cell relaxed with GGA-PBE.
Peak positions follow from Bragg's law for the DFT cell and can differ from measured ones.

Structural model:
Cell: 10.7312 10.7312 4.8113 Å, 90.00 90.00 90.00°
Sites, in units of the cell vectors:
La  0.1754  0.3246  0.0000
La  0.3246  0.8246  0.0000
La  0.6754  0.1754  0.0000
La  0.8246  0.6754  0.0000
Tb  0.1238  0.6238  0.0000
Tb  0.3762  0.1238  0.0000
Tb  0.6238  0.8762  0.0000
Tb  0.8762  0.3762  0.0000
Dy  0.0000  0.0000  0.0000
Dy  0.5000  0.5000  0.0000
Cd  0.0000  0.5000  0.5000
Cd  0.0670  0.8061  0.5000
Cd  0.1939  0.0670  0.5000
Cd  0.3061  0.5670  0.5000
Cd  0.4330  0.3061  0.5000
Cd  0.5000  0.0000  0.5000
Cd  0.5670  0.6939  0.5000
Cd  0.6939  0.4330  0.5000
Cd  0.8061  0.9330  0.5000
Cd  0.9330  0.1939  0.5000

Peak list (12 most intense, 2θ from 10° to 80°, low angle first)
d (Å)  intensity
4.803  9
2.979  17
2.773  100
2.603  25
2.531  46
2.404  38
2.343  8
1.766  21
1.698  9
1.600  8
1.450  13
1.409  9

---

Theoretical powder X-ray diffraction pattern of La2DyTl2Cd2 for Cu Kα (λ = 1.5418 Å), from a cell relaxed with GGA-PBE.
Peak positions follow from Bragg's law for the DFT cell and can differ from measured ones.

Structural model:
Cell: 9.5586 9.5586 9.5586 Å, 30.13 30.13 30.13°
Sites, in units of the cell vectors:
La  0.1378  0.1378  0.1378
La  0.8622  0.8622  0.8622
Dy  0.0000  0.0000  0.0000
Tl  0.2761  0.2761  0.2761
Tl  0.7239  0.7239  0.7239
Cd  0.4161  0.4161  0.4161
Cd  0.5839  0.5839  0.5839

Peak list (12 most intense, 2θ from 10° to 80°, low angle first)
d (Å)  intensity
2.893  100
2.677  12
2.485  76
1.885  29
1.822  8
1.779  15
1.502  28
1.470  16
1.446  8
1.434  14
1.250  9
1.242  9

---

Theoretical powder X-ray diffraction pattern of LiDy2Cd3 for Cu Kα (λ = 1.5418 Å), from a cell relaxed with GGA-PBE.
Peak positions follow from Bragg's law for the DFT cell and can differ from measured ones.

Structural model:
Cell: 5.1634 5.1634 12.5712 Å, 90.00 90.00 120.00°
Sites, in units of the cell vectors:
Li  0.3333  0.6667  0.1641
Li  0.6667  0.3333  0.8359
Dy  0.0000  0.0000  0.0000
Dy  0.0000  0.0000  0.5000
Dy  0.3333  0.6667  0.6737
Dy  0.6667  0.3333  0.3263
Cd  0.0000  0.0000  0.2449
Cd  0.0000  0.0000  0.7551
Cd  0.3333  0.6667  0.4073
Cd  0.3333  0.6667  0.9235
Cd  0.6667  0.3333  0.0765
Cd  0.6667  0.3333  0.5927

Peak list (12 most intense, 2θ from 10° to 80°, low angle first)
d (Å)  intensity
4.472  5
4.213  21
4.190  8
3.058  8
2.582  100
2.571  97
2.199  13
1.822  34
1.489  53
1.483  16
1.291  11
1.286  10

---

Theoretical powder X-ray diffraction pattern of LiDyCd for Cu Kα (λ = 1.5418 Å), from a cell relaxed with GGA-PBE.
Peak positions follow from Bragg's law for the DFT cell and can differ from measured ones.

Structural model:
Cell: 4.9831 4.9831 3.2443 Å, 90.00 90.00 120.00°
Sites, in units of the cell vectors:
Li  0.0000  0.0000  0.0000
Dy  0.6667  0.3333  0.5000
Cd  0.3333  0.6667  0.0000

Peak list (12 most intense, 2θ from 10° to 80°, low angle first)
d (Å)  intensity
4.315  61
2.593  100
2.492  61
2.158  10
1.797  33
1.631  8
1.622  5
1.518  6
1.457  33
1.438  11
1.359  18
1.246  7

---

Theoretical powder X-ray diffraction pattern of LiDyCd14 for Cu Kα (λ = 1.5418 Å), from a cell relaxed with GGA-PBE.
Peak positions follow from Bragg's law for the DFT cell and can differ from measured ones.

Structural model:
Cell: 6.5061 6.5061 8.5560 Å, 90.00 90.00 90.00°
Sites, in units of the cell vectors:
Li  0.0000  0.0000  0.0000
Dy  0.5000  0.5000  0.0000
Cd  0.0000  0.0000  0.5000
Cd  0.0000  0.5000  0.0000
Cd  0.0000  0.5000  0.5000
Cd  0.2440  0.2440  0.2512
Cd  0.2440  0.2440  0.7488
Cd  0.2440  0.7560  0.2512
Cd  0.2440  0.7560  0.7488
Cd  0.5000  0.0000  0.0000
Cd  0.5000  0.0000  0.5000
Cd  0.5000  0.5000  0.5000
Cd  0.7560  0.2440  0.2512
Cd  0.7560  0.2440  0.7488
Cd  0.7560  0.7560  0.2512
Cd  0.7560  0.7560  0.7488

Peak list (12 most intense, 2θ from 10° to 80°, low angle first)
d (Å)  intensity
6.506  2
5.179  4
3.574  3
2.755  2
2.589  100
2.300  35
2.139  14
1.627  12
1.566  20
1.377  26
1.306  11
1.295  11

---

Theoretical powder X-ray diffraction pattern of Li2DyCd2Pb2 for Cu Kα (λ = 1.5418 Å), from a cell relaxed with GGA-PBE.
Peak positions follow from Bragg's law for the DFT cell and can differ from measured ones.

Structural model:
Cell: 8.2815 4.7645 8.7960 Å, 90.00 107.95 90.00°
Sites, in units of the cell vectors:
Li  0.1426  0.0000  0.4300
Li  0.3574  0.5000  0.5700
Li  0.6426  0.5000  0.4300
Li  0.8574  0.0000  0.5700
Dy  0.0000  0.0000  0.0000
Dy  0.5000  0.5000  0.0000
Cd  0.0584  0.5000  0.6720
Cd  0.4416  0.0000  0.3280
Cd  0.5584  0.0000  0.6720
Cd  0.9416  0.5000  0.3280
Pb  0.2304  0.5000  0.1942
Pb  0.2696  0.0000  0.8058
Pb  0.7304  0.0000  0.1942
Pb  0.7696  0.5000  0.8058

Peak list (12 most intense, 2θ from 10° to 80°, low angle first)
d (Å)  intensity
8.368  27
4.184  13
3.452  100
2.712  52
2.703  25
2.389  55
2.382  27
1.995  24
1.960  14
1.787  15
1.517  13
1.431  14